Entry 1:
Computed X-ray powder pattern of SrCuBiH2 for λ = 1.5418 Å (Cu Kα), from the PBE geometry in Alexandria.
Neutral-atom scattering factors, no anomalous dispersion.

Crystal structure
a b c (Å): 6.199 6.199 6.736
angles (deg): 90.00 90.00 137.68
Fractional coordinates of all 10 atoms:
Sr1 0.212 0.788 0.750
Sr2 0.788 0.212 0.250
Cu1 0.500 0.500 0.000
Cu2 0.500 0.500 0.500
Bi1 0.065 0.935 0.250
Bi2 0.935 0.065 0.750
H1 0.362 0.638 0.039
H2 0.362 0.638 0.461
H3 0.638 0.362 0.539
H4 0.638 0.362 0.961

Peak list (6 most intense, 2θ = 5–70°, low angle first)
2θ (°)  d [Å]  Rel. int.
15.33  5.781  36
21.29  4.174  38
26.47  3.368  30
33.44  2.679  92
33.74  2.656  51
34.21  2.621  100

=====

Entry 2:
Computed X-ray powder pattern of Hf2CuBi2 for λ = 1.5418 Å (Cu Kα), from the PBE geometry in Alexandria.
Neutral-atom scattering factors, no anomalous dispersion.

Crystal structure
a b c (Å): 7.807 7.807 3.889
angles (deg): 90.00 90.00 90.00
Fractional coordinates of all 10 atoms:
Hf1 0.140 0.360 0.000
Hf2 0.360 0.860 0.000
Hf3 0.640 0.140 0.000
Hf4 0.860 0.640 0.000
Cu1 0.000 0.000 0.500
Cu2 0.500 0.500 0.500
Bi1 0.160 0.660 0.500
Bi2 0.340 0.160 0.500
Bi3 0.660 0.840 0.500
Bi4 0.840 0.340 0.500

Peak list (6 most intense, 2θ = 5–70°, low angle first)
2θ (°)  d [Å]  Rel. int.
16.06  5.520  17
34.52  2.598  100
36.39  2.469  30
53.85  1.702  11
60.62  1.528  14
69.16  1.358  19

=====

Entry 3:
Computed X-ray powder pattern of Hf3CuBi for λ = 1.5418 Å (Cu Kα), from the PBE geometry in Alexandria.
Neutral-atom scattering factors, no anomalous dispersion.

Crystal structure
a b c (Å): 7.613 7.613 7.797
angles (deg): 90.58 90.58 28.32
Fractional coordinates of all 10 atoms:
Hf1 0.041 0.041 0.241
Hf2 0.253 0.253 0.792
Hf3 0.401 0.401 0.448
Hf4 0.599 0.599 0.552
Hf5 0.747 0.747 0.208
Hf6 0.959 0.959 0.759
Cu1 0.208 0.208 0.433
Cu2 0.792 0.792 0.567
Bi1 0.393 0.393 0.062
Bi2 0.607 0.607 0.938

Peak list (6 most intense, 2θ = 5–70°, low angle first)
2θ (°)  d [Å]  Rel. int.
32.19  2.781  84
33.61  2.666  43
33.81  2.651  100
36.52  2.460  35
38.93  2.314  50
48.91  1.862  37

=====

Entry 4:
Computed X-ray powder pattern of CuHg2Bi2 for λ = 1.5418 Å (Cu Kα), from the PBE geometry in Alexandria.
Neutral-atom scattering factors, no anomalous dispersion.

Crystal structure
a b c (Å): 7.030 7.030 5.183
angles (deg): 90.00 90.00 90.00
Fractional coordinates of all 10 atoms:
Cu1 0.000 0.000 0.000
Cu2 0.500 0.500 0.000
Hg1 0.152 0.348 0.000
Hg2 0.348 0.848 0.000
Hg3 0.652 0.152 0.000
Hg4 0.848 0.652 0.000
Bi1 0.172 0.672 0.500
Bi2 0.328 0.172 0.500
Bi3 0.672 0.828 0.500
Bi4 0.828 0.328 0.500

Peak list (6 most intense, 2θ = 5–70°, low angle first)
2θ (°)  d [Å]  Rel. int.
33.33  2.688  100
34.61  2.591  24
40.58  2.223  19
54.37  1.687  16
56.84  1.620  18
61.22  1.514  18

=====

Entry 5:
Computed X-ray powder pattern of Sr3LaCu2HgBiO10 for λ = 1.5418 Å (Cu Kα), from the PBE geometry in Alexandria.
Neutral-atom scattering factors, no anomalous dispersion.

Crystal structure
a b c (Å): 9.811 9.811 9.811
angles (deg): 148.62 148.57 45.01
Fractional coordinates of all 18 atoms:
Sr1 0.000 0.000 0.000
Sr2 0.207 0.207 0.000
Sr3 0.498 0.498 0.000
La1 0.703 0.703 0.000
Cu1 0.100 0.600 0.500
Cu2 0.599 0.099 0.500
Hg1 0.854 0.354 0.500
Bi1 0.354 0.854 0.500
O1 0.231 0.731 0.500
O2 0.354 0.354 0.000
O3 0.361 0.361 0.508
O4 0.361 0.853 0.000
O5 0.477 0.977 0.500
O6 0.735 0.235 0.500
O7 0.847 0.847 0.000
O8 0.853 0.361 0.000
O9 0.853 0.853 0.492
O10 0.973 0.473 0.500

Peak list (6 most intense, 2θ = 5–70°, low angle first)
2θ (°)  d [Å]  Rel. int.
25.68  3.469  32
30.93  2.891  100
33.76  2.655  62
45.48  1.994  24
48.49  1.877  28
58.63  1.575  34

=====

Entry 6:
Computed X-ray powder pattern of Ho4Cu2Bi for λ = 1.5418 Å (Cu Kα), from the PBE geometry in Alexandria.
Neutral-atom scattering factors, no anomalous dispersion.

Crystal structure
a b c (Å): 7.984 7.984 7.984
angles (deg): 108.23 108.23 111.98
Fractional coordinates of all 14 atoms:
Ho1 0.210 0.283 0.573
Ho2 0.210 0.636 0.927
Ho3 0.283 0.210 0.073
Ho4 0.364 0.790 0.573
Ho5 0.636 0.210 0.427
Ho6 0.717 0.790 0.927
Ho7 0.790 0.364 0.073
Ho8 0.790 0.717 0.427
Cu1 0.000 0.500 0.500
Cu2 0.500 0.000 0.000
Cu3 0.500 0.500 0.000
Cu4 0.500 0.500 0.500
Bi1 0.125 0.875 0.250
Bi2 0.875 0.125 0.750

Peak list (6 most intense, 2θ = 5–70°, low angle first)
2θ (°)  d [Å]  Rel. int.
18.96  4.680  61
27.61  3.231  44
30.35  2.945  76
31.53  2.837  94
36.03  2.493  100
36.42  2.467  37

=====

Entry 7:
Computed X-ray powder pattern of Ho12Cu5Bi for λ = 1.5418 Å (Cu Kα), from the PBE geometry in Alexandria.
Neutral-atom scattering factors, no anomalous dispersion.

Crystal structure
a b c (Å): 8.439 8.439 8.439
angles (deg): 112.56 110.87 105.08
Fractional coordinates of all 18 atoms:
Ho1 0.031 0.223 0.807
Ho2 0.179 0.279 0.459
Ho3 0.179 0.721 0.900
Ho4 0.317 0.009 0.692
Ho5 0.317 0.625 0.308
Ho6 0.416 0.223 0.193
Ho7 0.584 0.777 0.807
Ho8 0.683 0.375 0.692
Ho9 0.683 0.991 0.308
Ho10 0.821 0.279 0.100
Ho11 0.821 0.721 0.541
Ho12 0.969 0.777 0.193
Cu1 0.000 0.000 0.000
Cu2 0.119 0.619 0.500
Cu3 0.357 0.000 0.357
Cu4 0.643 0.000 0.643
Cu5 0.881 0.381 0.500
Bi1 0.500 0.500 0.000

Peak list (6 most intense, 2θ = 5–70°, low angle first)
2θ (°)  d [Å]  Rel. int.
29.30  3.048  25
30.10  2.969  29
31.91  2.804  100
33.76  2.655  55
34.45  2.604  58
60.02  1.541  28

=====

Entry 8:
Computed X-ray powder pattern of Cu2BiI8 for λ = 1.5418 Å (Cu Kα), from the PBE geometry in Alexandria.
Neutral-atom scattering factors, no anomalous dispersion.

Crystal structure
a b c (Å): 8.217 8.217 7.889
angles (deg): 90.00 90.00 120.00
Fractional coordinates of all 11 atoms:
Cu1 0.333 0.667 0.365
Cu2 0.667 0.333 0.635
Bi1 0.000 0.000 0.000
I1 0.160 0.320 0.269
I2 0.160 0.840 0.269
I3 0.320 0.160 0.731
I4 0.333 0.667 0.683
I5 0.667 0.333 0.317
I6 0.680 0.840 0.269
I7 0.840 0.160 0.731
I8 0.840 0.680 0.731

Peak list (6 most intense, 2θ = 5–70°, low angle first)
2θ (°)  d [Å]  Rel. int.
16.78  5.284  41
22.54  3.944  20
27.50  3.243  100
33.93  2.642  40
42.76  2.115  24
44.08  2.054  36

=====

Entry 9:
Computed X-ray powder pattern of Cu2BiI5 for λ = 1.5418 Å (Cu Kα), from the PBE geometry in Alexandria.
Neutral-atom scattering factors, no anomalous dispersion.

Crystal structure
a b c (Å): 7.788 7.788 7.843
angles (deg): 116.24 116.24 63.95
Fractional coordinates of all 8 atoms:
Cu1 0.211 0.789 0.000
Cu2 0.789 0.211 0.000
Bi1 0.144 0.144 0.494
I1 0.026 0.026 0.765
I2 0.402 0.402 0.856
I3 0.475 0.933 0.319
I4 0.881 0.881 0.087
I5 0.933 0.475 0.319

Peak list (6 most intense, 2θ = 5–70°, low angle first)
2θ (°)  d [Å]  Rel. int.
13.30  6.659  89
14.32  6.183  85
15.63  5.669  56
25.40  3.507  100
25.98  3.429  46
27.03  3.299  60

=====

Entry 10:
Computed X-ray powder pattern of K2CuBiI6 for λ = 1.5418 Å (Cu Kα), from the PBE geometry in Alexandria.
Neutral-atom scattering factors, no anomalous dispersion.

Crystal structure
a b c (Å): 8.481 8.854 13.493
angles (deg): 90.00 126.23 90.00
Fractional coordinates of all 20 atoms:
K1 0.224 0.084 0.247
K2 0.224 0.416 0.747
K3 0.776 0.584 0.253
K4 0.776 0.916 0.753
Cu1 0.500 0.000 0.000
Cu2 0.500 0.500 0.500
Bi1 0.000 0.000 0.500
Bi2 0.000 0.500 0.000
I1 0.148 0.206 0.953
I2 0.148 0.294 0.453
I3 0.246 0.695 0.946
I4 0.246 0.805 0.446
I5 0.379 0.024 0.776
I6 0.379 0.476 0.276
I7 0.621 0.524 0.724
I8 0.621 0.976 0.224
I9 0.754 0.195 0.554
I10 0.754 0.305 0.054
I11 0.852 0.706 0.547
I12 0.852 0.794 0.047

Peak list (6 most intense, 2θ = 5–70°, low angle first)
2θ (°)  d [Å]  Rel. int.
14.47  6.121  100
26.27  3.392  57
29.18  3.061  77
32.11  2.787  42
33.10  2.706  41
36.60  2.456  45

=====

Entry 11:
Computed X-ray powder pattern of TlIn2CuBi for λ = 1.5418 Å (Cu Kα), from the PBE geometry in Alexandria.
Neutral-atom scattering factors, no anomalous dispersion.

Crystal structure
a b c (Å): 5.139 5.139 5.498
angles (deg): 90.00 90.00 90.00
Fractional coordinates of all 5 atoms:
Tl1 0.000 0.000 0.000
In1 0.000 0.500 0.500
In2 0.500 0.000 0.500
Cu1 0.500 0.500 0.500
Bi1 0.500 0.500 0.000

Peak list (6 most intense, 2θ = 5–70°, low angle first)
2θ (°)  d [Å]  Rel. int.
29.46  3.032  100
32.57  2.749  30
34.92  2.570  50
48.49  1.877  39
59.29  1.558  28
61.14  1.516  20

=====

Entry 12:
Computed X-ray powder pattern of CuBi12Ir3 for λ = 1.5418 Å (Cu Kα), from the PBE geometry in Alexandria.
Neutral-atom scattering factors, no anomalous dispersion.

Crystal structure
a b c (Å): 9.054 4.259 11.719
angles (deg): 90.00 90.87 90.00
Fractional coordinates of all 16 atoms:
Cu1 0.000 0.000 0.000
Bi1 0.022 0.500 0.419
Bi2 0.098 0.500 0.141
Bi3 0.207 0.000 0.629
Bi4 0.299 0.000 0.933
Bi5 0.324 0.000 0.340
Bi6 0.500 0.500 0.702
Bi7 0.513 0.500 0.104
Bi8 0.622 0.500 0.415
Bi9 0.690 0.000 0.906
Bi10 0.797 0.000 0.198
Bi11 0.807 0.000 0.627
Bi12 0.992 0.500 0.839
Ir1 0.314 0.500 0.498
Ir2 0.516 0.000 0.544
Ir3 0.814 0.500 0.036

Peak list (6 most intense, 2θ = 5–70°, low angle first)
2θ (°)  d [Å]  Rel. int.
28.78  3.102  63
31.07  2.879  100
32.76  2.733  42
33.19  2.699  36
33.61  2.666  51
42.45  2.130  56